Record 1
Starting from a crystal structure in Alexandria, relaxed with GGA+U, the powder diffraction line list of Na2CaCoF6 was simulated for Cu Kα (weighted mean of Kα1 and Kα2).
Peak positions follow from Bragg's law for the DFT cell and can differ from measured ones.

Top 6 peaks for 5 to 70 degrees two-theta, by angle:
d [Å]	Position (°2θ)	I (rel.)	hkl
4.085	21.8	43	0 0 2
4.063	21.9	100	1 1 -1
2.930	30.5	42	0 2 0
2.895	30.9	95	1 1 1
2.867	31.2	93	1 1 -3
2.032	44.6	78	2 2 -2

Crystal structure
```
Na2CaCoF6
1.0
5.6387 0.0000 0.0000
0.0000 5.8607 0.0000
-5.5279 0.0000 8.1701
Na Ca Co F
4 2 2 12
direct
0.2311 0.0570 0.2488
0.2311 0.4430 0.7488
0.7689 0.5570 0.2512
0.7689 0.9430 0.7512
0.5000 0.0000 0.0000
0.5000 0.5000 0.5000
0.0000 0.0000 0.5000
0.0000 0.5000 0.0000
0.1104 0.2063 0.9323
0.1104 0.2937 0.4323
0.2299 0.6848 0.9350
0.2299 0.8152 0.4350
0.3621 0.0602 0.7373
0.3621 0.4398 0.2373
0.6379 0.5602 0.7627
0.6379 0.9398 0.2627
0.7701 0.1848 0.5650
0.7701 0.3152 0.0650
0.8896 0.7063 0.5677
0.8896 0.7937 0.0677
```

***

Record 2
Starting from a crystal structure in Alexandria, relaxed with GGA+U, the powder diffraction line list of RbMn2Se2O6 was simulated for Cu Kα (weighted mean of Kα1 and Kα2).
Peak positions follow from Bragg's law for the DFT cell and can differ from measured ones.

Top 6 peaks for 5 to 70 degrees two-theta, by angle:
d [Å]	Position (°2θ)	I (rel.)	hkl
4.985	17.8	70	0 1 -1
3.474	25.6	51	-1 1 1
3.359	26.5	62	1 0 1
2.915	30.7	100	1 -2 1
2.733	32.8	80	1 1 -2
2.664	33.6	66	-2 1 1

Crystal structure
```
RbMn2Se2O6
1.0
5.8468 0.0000 0.0000
-2.0343 5.7567 0.0000
-0.9474 -2.5381 5.5729
Rb Mn Se O
1 2 2 6
direct
0.0000 0.0000 0.0000
0.2646 0.5489 0.9269
0.7354 0.4511 0.0731
0.2725 0.9198 0.5461
0.7275 0.0802 0.4539
0.1209 0.6593 0.2153
0.3304 0.7485 0.7010
0.3910 0.2587 0.8361
0.6090 0.7413 0.1639
0.6696 0.2515 0.2990
0.8791 0.3407 0.7847
```